Calculated powder diffractogram
Compound: NbIr3
Radiation: Cu Kα (λ = 1.5418 Å)
Structure: DFT lattice parameters and positions (GGA-PBE)
Kinematic intensities with the Lorentz-polarization factor, no thermal factor.

Principal peaks in the range 2θ from 15° to 90°, low angle first:
(1 0 0), 18.32°, d = 4.844 Å, I = 4.1
(1 0 1), 27.08°, d = 3.293 Å, I = 5.3
(2 0 0), 37.12°, d = 2.422 Å, I = 24.1
(0 0 2), 40.16°, d = 2.246 Å, I = 25.9
(2 0 1), 42.40°, d = 2.132 Å, I = 100.0
(2 0 2), 55.83°, d = 1.647 Å, I = 15.0
(2 2 0), 66.92°, d = 1.398 Å, I = 17.3
(2 0 3), 74.52°, d = 1.273 Å, I = 19.2
(2 2 2), 81.00°, d = 1.187 Å, I = 20.5
(4 0 1), 82.50°, d = 1.169 Å, I = 14.7

Cell and atoms:
```
NbIr3
1.0
5.5933 0.0000 0.0000
-2.7966 4.8439 0.0000
0.0000 0.0000 4.4910
Nb Ir
2 6
direct
0.3333 0.6667 0.2500 Nb
0.6667 0.3333 0.7500 Nb
0.1638 0.3276 0.7500 Ir
0.1638 0.8362 0.7500 Ir
0.3276 0.1638 0.2500 Ir
0.6724 0.8362 0.7500 Ir
0.8362 0.1638 0.2500 Ir
0.8362 0.6724 0.2500 Ir
```